Calculated XRD peak list of Cu4MoW3O16 for Cu Kα (weighted mean of Kα1 and Kα2), from a crystal structure in Alexandria, relaxed with GGA+U.
Kinematic intensities with the Lorentz-polarization factor, no thermal factor.

The 10 most intense peaks (10 to 80 degrees two-theta), sorted by position:
| 2θ/deg | I/Imax | index |
| --- | --- | --- |
| 18.73 | 54 | 0 1 -1 |
| 22.31 | 58 | 0 0 2 |
| 25.66 | 54 | 0 2 0 |
| 27.46 | 100 | 1 0 2 |
| 29.98 | 75 | 1 0 -2 |
| 31.17 | 61 | 1 -2 0 |
| 31.73 | 53 | 1 2 0 |
| 34.45 | 48 | 1 2 2 |
| 36.04 | 30 | -1 2 2 |
| 36.23 | 41 | 2 0 0 |

Cell and atoms:
```
Cu4MoW3O16
1.0
4.977 0.000 0.000
0.008 7.124 0.000
0.705 1.829 7.969
Cu Mo W O
4 1 3 16
direct
0.000 0.000 0.000
0.003 0.501 0.504
0.497 0.842 0.850
0.504 0.340 0.359
0.509 0.843 0.338
0.507 0.344 0.840
0.994 0.497 0.018
0.996 0.996 0.522
0.156 0.745 0.986
0.157 0.246 0.487
0.198 0.485 0.780
0.207 0.985 0.282
0.303 0.356 0.079
0.304 0.858 0.584
0.347 0.096 0.872
0.350 0.597 0.375
0.681 0.590 0.882
0.684 0.373 0.633
0.686 0.090 0.384
0.687 0.872 0.135
0.818 0.470 0.226
0.819 0.251 0.977
0.820 0.971 0.730
0.825 0.753 0.478
```